Structure and simulated PXRD pattern of BaSrHg2Bi2 (a DFT-relaxed cell (GGA-PBE, Alexandria); Cu Kα X-rays).
Lines closer than 0.1° are merged.

Principal peaks in the range 10° ≤ 2θ ≤ 80°, by intensity:
28.8°, intensity 100
33.4°, intensity 99
44.7°, intensity 31
57.0°, intensity 30
40.0°, intensity 20
59.8°, intensity 19

a = 5.359 Å, b = 5.359 Å, c = 8.330 Å
α = 90.00°, β = 90.00°, γ = 120.00°
Positions (direct):
Ba 0.000 0.000 0.000
Sr 0.000 0.000 0.500
Hg 0.333 0.667 0.328
Hg 0.667 0.333 0.672
Bi 0.333 0.667 0.748
Bi 0.667 0.333 0.252

=====

Structure and simulated PXRD pattern of Ba2HgBiTe5 (a DFT-relaxed cell (GGA-PBE, Alexandria); Cu Kα X-rays).
Lines closer than 0.1° are merged.

Principal peaks in the range 10° ≤ 2θ ≤ 80°, by intensity:
28.0°, intensity 100
25.2°, intensity 55
31.0°, intensity 36
38.6°, intensity 34
40.1°, intensity 24
27.9°, intensity 23

a = 11.245 Å, b = 11.245 Å, c = 13.333 Å
α = 90.00°, β = 90.00°, γ = 156.08°
Positions (direct):
Ba 0.113 0.887 0.500
Ba 0.117 0.883 0.111
Ba 0.883 0.117 0.611
Ba 0.887 0.113 0.000
Hg 0.452 0.548 0.241
Hg 0.548 0.452 0.741
Bi 0.227 0.773 0.811
Bi 0.773 0.227 0.311
Te 0.080 0.920 0.847
Te 0.274 0.726 0.475
Te 0.280 0.720 0.145
Te 0.366 0.634 0.806
Te 0.498 0.502 0.552
Te 0.502 0.498 0.052
Te 0.634 0.366 0.306
Te 0.720 0.280 0.645
Te 0.726 0.274 0.975
Te 0.920 0.080 0.347

=====

Structure and simulated PXRD pattern of Ba2TlHg6Bi (a DFT-relaxed cell (GGA-PBE, Alexandria); Cu Kα X-rays).
Lines closer than 0.1° are merged.

Principal peaks in the range 10° ≤ 2θ ≤ 80°, by intensity:
30.8°, intensity 100
44.1°, intensity 76
26.6°, intensity 62
15.3°, intensity 43
72.9°, intensity 35
52.3°, intensity 29

a = 8.205 Å, b = 8.205 Å, c = 8.205 Å
α = 60.00°, β = 60.00°, γ = 60.00°
Positions (direct):
Ba 0.250 0.250 0.250
Ba 0.750 0.750 0.750
Tl 0.000 0.000 0.000
Hg 0.247 0.247 0.753
Hg 0.247 0.753 0.247
Hg 0.247 0.753 0.753
Hg 0.753 0.247 0.247
Hg 0.753 0.247 0.753
Hg 0.753 0.753 0.247
Bi 0.500 0.500 0.500